# Na2GaHgBr6
Computed X-ray diffraction stick pattern, Cu Kα (λ = 1.5418 Å). Input: a cell relaxed with GGA-PBE.

Structure:
abc: 10.961 10.961 10.961
angles: 90.00 90.00 90.00
Space group Fm-3m (No. 225)
Unique sites:
1 Na 0.250 0.250 0.250
2 Ga 0.000 0.000 0.000
3 Hg 0.000 0.000 0.500
4 Br 0.000 0.000 0.238

Top 10 peaks for 10 to 90 degrees two-theta, by angle:
hkl 2 0 0, 16.17 deg, intensity 100
hkl 2 2 2, 28.20 deg, intensity 17
hkl 4 0 0, 32.68 deg, intensity 78
hkl 4 2 0, 36.67 deg, intensity 52
hkl 4 4 0, 46.89 deg, intensity 55
hkl 6 0 0, 49.92 deg, intensity 27
hkl 4 4 4, 58.32 deg, intensity 19
hkl 6 4 4, 70.90 deg, intensity 15
hkl 8 4 0, 77.96 deg, intensity 23
hkl 8 4 4, 87.12 deg, intensity 18